Entry 1:
Lu6GaNi2: calculated powder diffractogram (CuKα), based on a crystal structure in the Materials Project, relaxed with PBE.
Intensities are scaled so that the largest is 100.

Main lines, by intensity (10 to 90 degrees two-theta):
| 2θ/deg | I_rel |
| --- | --- |
| 33.13 | 100 |
| 35.71 | 51 |
| 36.22 | 48 |
| 35.37 | 47 |
| 39.61 | 30 |
| 62.12 | 28 |

Crystal structure
Unit cell a=8.1229 b=8.1229 c=8.1229 alpha=111.85 beta=110.03 gamma=106.58
Sites, in units of the cell vectors:
Lu: 0.0378 0.2368 0.8011
Lu: 0.1807 0.2829 0.4636
Lu: 0.1807 0.7171 0.8978
Lu: 0.3259 0.0240 0.6981
Lu: 0.3259 0.6278 0.3019
Lu: 0.4357 0.2368 0.1989
Lu: 0.5643 0.7632 0.8011
Lu: 0.6741 0.3722 0.6981
Lu: 0.6741 0.9760 0.3019
Lu: 0.8193 0.2829 0.1022
Lu: 0.8193 0.7171 0.5364
Lu: 0.9622 0.7632 0.1989
Ga: 0.0000 0.0000 0.0000
Ga: 0.5000 0.5000 0.0000
Ni: 0.1236 0.6236 0.5000
Ni: 0.3524 0.0000 0.3524
Ni: 0.6476 0.0000 0.6476
Ni: 0.8764 0.3764 0.5000



Entry 2:
Lu3Ga5Ni: calculated powder diffractogram (CuKα), based on a crystal structure in the Materials Project, relaxed with PBE.
Intensities are scaled so that the largest is 100.

Main lines, by intensity (10 to 90 degrees two-theta):
| 2θ/deg | I_rel |
| --- | --- |
| 34.04 | 100 |
| 37.42 | 73 |
| 60.95 | 48 |
| 40.58 | 37 |
| 73.78 | 32 |
| 43.40 | 27 |

Crystal structure
Unit cell a=6.7924 b=6.7924 c=4.1704 alpha=90.00 beta=90.00 gamma=120.00
Sites, in units of the cell vectors:
Lu: 0.0000 0.5918 0.0000
Lu: 0.4082 0.4082 0.0000
Lu: 0.5918 0.0000 0.0000
Ga: 0.0000 0.2361 0.5000
Ga: 0.2361 0.0000 0.5000
Ga: 0.3333 0.6667 0.5000
Ga: 0.6667 0.3333 0.5000
Ga: 0.7639 0.7639 0.5000
Ni: 0.0000 0.0000 0.0000



Entry 3:
Lu4Ga12Ni: calculated powder diffractogram (CuKα), based on a crystal structure in the Materials Project, relaxed with PBE.
Intensities are scaled so that the largest is 100.

Main lines, by intensity (10 to 90 degrees two-theta):
| 2θ/deg | I_rel |
| --- | --- |
| 36.50 | 100 |
| 42.40 | 57 |
| 61.52 | 35 |
| 73.70 | 32 |
| 29.63 | 30 |
| 20.84 | 14 |

Crystal structure
Unit cell a=7.3843 b=7.3843 c=7.3843 alpha=109.47 beta=109.47 gamma=109.47
Sites, in units of the cell vectors:
Lu: 0.0000 0.0000 0.5000
Lu: 0.0000 0.5000 0.0000
Lu: 0.5000 0.0000 0.0000
Lu: 0.5000 0.5000 0.5000
Ga: 0.0000 0.2886 0.2886
Ga: 0.0000 0.7114 0.7114
Ga: 0.2500 0.5000 0.7500
Ga: 0.2500 0.7500 0.5000
Ga: 0.2886 0.0000 0.2886
Ga: 0.2886 0.2886 0.0000
Ga: 0.5000 0.2500 0.7500
Ga: 0.5000 0.7500 0.2500
Ga: 0.7114 0.0000 0.7114
Ga: 0.7114 0.7114 0.0000
Ga: 0.7500 0.2500 0.5000
Ga: 0.7500 0.5000 0.2500
Ni: 0.0000 0.0000 0.0000